No. 1
LiCSO3F3: calculated powder diffraction line list (Cu Kα), based on the PBE geometry in the Materials Project.

The 12 most intense peaks (5° ≤ 2θ ≤ 70°), most intense first:
2θ = 19.36°, I 100; 2θ = 20.41°, I 89; 2θ = 25.33°, I 64; 2θ = 32.60°, I 53; 2θ = 26.11°, I 49; 2θ = 20.15°, I 40; 2θ = 17.21°, I 30; 2θ = 18.34°, I 29; 2θ = 34.82°, I 29; 2θ = 21.51°, I 24; 2θ = 40.14°, I 24; 2θ = 19.62°, I 16

Structure:
Cell lengths 10.3085, 5.1192, 9.6756 Å; angles 90.00, 90.95, 90.00 degrees
Space group P2_1/c (No. 14)
Asymmetric unit:
Li 0.1004 0.1113 0.0901
C 0.3398 0.7377 0.3980
S 0.1758 0.6070 0.9083
O 0.0907 0.6740 0.4471
O 0.1478 0.5076 0.7708
O 0.1910 0.0894 0.5160
F 0.3377 0.5445 0.3032
F 0.3724 0.6356 0.5230
F 0.4292 0.5832 0.8624

=====

No. 2
RbMgCO3F: calculated powder diffraction line list (Cu Kα), based on the PBE geometry in the Materials Project.

The 12 most intense peaks (5° ≤ 2θ ≤ 70°), most intense first:
2θ = 29.56°, I 100; 2θ = 33.85°, I 29; 2θ = 40.96°, I 24; 2θ = 19.35°, I 22; 2θ = 37.39°, I 20; 2θ = 45.13°, I 17; 2θ = 29.76°, I 16; 2θ = 40.81°, I 15; 2θ = 62.57°, I 12; 2θ = 31.68°, I 12; 2θ = 57.59°, I 12; 2θ = 66.49°, I 12

Structure:
Cell lengths 9.1729, 9.1729, 4.0178 Å; angles 90.00, 90.00, 120.00 degrees
Space group P-62m (No. 189)
Asymmetric unit:
Rb 0.0000 0.3825 0.0000
Mg 0.0000 0.7188 0.5000
C 0.0000 0.0000 0.5000
C 0.3333 0.6667 0.5000
O 0.0000 0.1415 0.5000
O 0.2010 0.6833 0.5000
F 0.0000 0.7211 0.0000

=====

No. 3
MgC2S2O2F6: calculated powder diffraction line list (Cu Kα), based on the PBE geometry in the Materials Project.

The 12 most intense peaks (5° ≤ 2θ ≤ 70°), most intense first:
2θ = 23.87°, I 100; 2θ = 27.04°, I 95; 2θ = 23.23°, I 95; 2θ = 22.35°, I 77; 2θ = 35.56°, I 76; 2θ = 22.82°, I 51; 2θ = 22.47°, I 50; 2θ = 26.48°, I 43; 2θ = 41.00°, I 41; 2θ = 39.48°, I 39; 2θ = 45.23°, I 35; 2θ = 34.95°, I 35

Structure:
Cell lengths 4.6089, 4.6901, 20.3445 Å; angles 90.12, 96.18, 115.42 degrees
Space group P-1 (No. 2)
Asymmetric unit:
Mg 0.0000 0.0000 0.0000
Mg 0.5000 0.0000 0.5000
C 0.0961 0.1997 0.3430
C 0.3537 0.7534 0.1563
S 0.1272 0.2549 0.4345
S 0.2932 0.6711 0.0650
O 0.3381 0.6198 0.4454
O 0.3498 0.2168 0.9502
F 0.0364 0.4292 0.3136
F 0.0793 0.7460 0.1755
F 0.1484 0.0852 0.6763
F 0.3721 0.2112 0.3228
F 0.3983 0.9591 0.8271
F 0.4243 0.5367 0.1893

=====

No. 4
Na2Sb5C2S2N2O3F9: calculated powder diffraction line list (Cu Kα), based on the PBE geometry in the Materials Project.

The 12 most intense peaks (5° ≤ 2θ ≤ 70°), most intense first:
2θ = 27.07°, I 100; 2θ = 17.10°, I 96; 2θ = 13.73°, I 88; 2θ = 26.76°, I 72; 2θ = 26.58°, I 67; 2θ = 26.43°, I 56; 2θ = 30.19°, I 48; 2θ = 14.64°, I 44; 2θ = 29.75°, I 37; 2θ = 33.53°, I 33; 2θ = 43.44°, I 27; 2θ = 21.53°, I 24

Structure:
Cell lengths 7.1504, 9.5528, 13.6660 Å; angles 74.10, 77.40, 82.86 degrees
Space group P-1 (No. 2)
Asymmetric unit:
Na 0.1217 0.2957 0.0404
Na 0.3354 0.8571 0.0857
Sb 0.0407 0.4275 0.7636
Sb 0.2360 0.0801 0.2982
Sb 0.2959 0.0427 0.7751
Sb 0.4386 0.6431 0.8856
Sb 0.4519 0.6584 0.3580
C 0.0420 0.2889 0.5442
C 0.2566 0.7346 0.6281
S 0.2464 0.9081 0.5774
S 0.2478 0.2979 0.4653
N 0.1049 0.7204 0.3937
N 0.2680 0.6053 0.6647
O 0.2723 0.2954 0.7290
O 0.4458 0.8790 0.3079
O 0.4989 0.8582 0.7739
F 0.0407 0.7602 0.1259
F 0.1302 0.4710 0.8808
F 0.1611 0.2877 0.2126
F 0.1815 0.0275 0.1746
F 0.1894 0.7693 0.9025
F 0.3039 0.5260 0.0335
F 0.3599 0.0506 0.9102
F 0.3879 0.6428 0.2275
F 0.4627 0.2591 0.0253